The following is a computed PXRD pattern of NaHgHPd. It was derived from a DFT-relaxed cell (PBE, Alexandria), using CuKα.
Neutral-atom scattering factors, no anomalous dispersion.

Top 10 peaks for 10 to 90 degrees two-theta, low angle first:
- 5.311 Å, 2θ 16.69, I 100, hkl 0 0 2
- 3.967 Å, 2θ 22.41, I 31, hkl 0 1 1
- 2.727 Å, 2θ 32.84, I 76, hkl 0 1 3
- 2.586 Å, 2θ 34.69, I 36, hkl 1 0 2
- 2.372 Å, 2θ 37.92, I 100, hkl 1 1 1
- 2.138 Å, 2θ 42.27, I 24, hkl 0 2 0
- 1.977 Å, 2θ 45.91, I 32, hkl 1 0 4
- 1.902 Å, 2θ 47.81, I 23, hkl 0 1 5
- 1.648 Å, 2θ 55.79, I 19, hkl 1 2 2
- 1.451 Å, 2θ 64.17, I 23, hkl 1 2 4

Structural model:
```
data_NaHgHPd
_chemical_formula_sum 'Na2 Hg2 H2 Pd2'
_space_group_name_H-M_alt 'A m m 2'
_space_group_IT_number 38
_cell_length_a 2.9603
_cell_length_b 4.2760
_cell_length_c 10.6210
_cell_angle_alpha 90.00
_cell_angle_beta 90.00
_cell_angle_gamma 90.00
loop_
_space_group_symop_operation_xyz
'x,y,z'
'-x,-y,z'
'-x,y,z'
'x,-y,z'
'x,y+1/2,z+1/2'
'-x,-y+1/2,z+1/2'
'-x,y+1/2,z+1/2'
'x,-y+1/2,z+1/2'
loop_
_atom_site_label
_atom_site_type_symbol
_atom_site_fract_x
_atom_site_fract_y
_atom_site_fract_z
_atom_site_occupancy
Na1 Na 0.0000 0.0000 0.0000 1
Hg1 Hg 0.5000 0.0000 0.6919 1
H1 H 0.5000 0.0000 0.4028 1
Pd1 Pd 0.0000 0.0000 0.3059 1
```